Structure and simulated powder X-ray diffraction pattern of SrTeAsC2 (a structure optimized by DFT (PBE); λ = 1.5418 Å (Cu Kα)).
Kinematic intensities with the Lorentz-polarization factor, no thermal factor.

Atomic structure:
```
SrTeAsC2
1.0
4.3730 0.0000 0.0000
0.0000 4.3730 0.0000
0.0000 0.0000 5.7090
Sr Te As C
1 1 1 2
Cartesian
0.0000 0.0000 0.0000
2.1865 2.1865 0.0000
2.1865 2.1865 2.8545
0.0000 2.1865 2.8545
2.1865 0.0000 2.8545
```

The 10 most intense peaks (10 to 90 degrees two-theta), in order of falling intensity:
2θ/deg	d [Å]	Rel. int.
28.87	3.092	100
43.13	2.097	68
31.34	2.855	55
41.29	2.186	51
32.94	2.719	49
52.74	1.736	48
20.31	4.373	43
15.52	5.709	36
76.55	1.245	26
69.09	1.359	21

Structure and simulated powder X-ray diffraction pattern of Ta4AsC2 (a structure optimized by DFT (PBE); λ = 1.5418 Å (Cu Kα)).
Kinematic intensities with the Lorentz-polarization factor, no thermal factor.

Atomic structure:
```
Ta4AsC2
1.0
1.6493 -5.3734 0.0000
1.6493 5.3734 0.0000
0.0000 0.0000 11.0289
Ta As C
8 2 4
Cartesian
0.0000 0.0000 0.0000
0.0000 0.0000 5.5144
1.6493 2.5587 6.7238
1.6493 2.5587 9.8195
1.6493 0.8219 2.7572
1.6493 -0.8219 8.2716
1.6493 -2.5587 1.2094
1.6493 -2.5587 4.3050
1.6493 4.2182 2.7572
1.6493 -4.2182 8.2716
1.6493 1.4511 0.6733
1.6493 1.4511 4.8412
1.6493 -1.4511 6.1877
1.6493 -1.4511 10.3556
```

The 10 most intense peaks (10 to 90 degrees two-theta), in order of falling intensity:
2θ/deg	d [Å]	Rel. int.
37.97	2.370	100
36.63	2.453	96
37.58	2.394	85
32.71	2.737	45
68.56	1.369	31
37.23	2.415	31
40.62	2.221	26
71.38	1.321	25
55.73	1.649	24
56.94	1.617	23

Structure and simulated powder X-ray diffraction pattern of Ta2Ti3As2C2 (a structure optimized by DFT (PBE); λ = 1.5418 Å (Cu Kα)).
Kinematic intensities with the Lorentz-polarization factor, no thermal factor.

Atomic structure:
```
Ta2Ti3As2C2
1.0
-1.9729 1.9729 8.5663
1.9729 -1.9729 8.5663
1.9729 1.9729 -8.5663
Ta Ti As C
2 3 2 2
Cartesian
0.0000 0.0000 1.2966
0.0000 0.0000 15.8360
1.9729 0.0000 4.2832
0.0000 0.0000 8.5663
0.0000 1.9729 4.2832
0.0000 0.0000 5.9537
0.0000 0.0000 11.1789
1.9729 0.0000 0.0000
0.0000 1.9729 0.0000
```

The 10 most intense peaks (10 to 90 degrees two-theta), in order of falling intensity:
2θ/deg	d [Å]	Rel. int.
43.51	2.080	100
32.08	2.790	78
46.00	1.973	66
34.67	2.587	65
65.17	1.431	60
23.13	3.845	57
33.79	2.653	53
10.33	8.566	46
38.51	2.338	45
58.87	1.569	28

Structure and simulated powder X-ray diffraction pattern of Tb4As2C (a structure optimized by DFT (PBE); λ = 1.5418 Å (Cu Kα)).
Kinematic intensities with the Lorentz-polarization factor, no thermal factor.

Atomic structure:
```
Tb4As2C
1.0
5.9358 -1.9299 0.0000
5.9358 1.9299 0.0000
-3.7025 0.0000 6.9867
Tb As C
4 2 1
Cartesian
-0.5193 0.0000 2.4457
0.6601 0.0000 6.5559
7.5091 0.0000 0.4308
8.6885 0.0000 4.5410
2.9672 0.0000 2.1911
5.2020 0.0000 4.7956
0.0000 0.0000 0.0000
```

The 10 most intense peaks (10 to 90 degrees two-theta), in order of falling intensity:
2θ/deg	d [Å]	Rel. int.
32.61	2.746	100
34.61	2.591	95
29.56	3.022	77
31.65	2.827	63
32.41	2.762	62
38.64	2.330	50
34.03	2.635	42
25.57	3.484	41
47.09	1.930	40
66.99	1.397	24

Structure and simulated powder X-ray diffraction pattern of Th5AsC4 (a structure optimized by DFT (PBE); λ = 1.5418 Å (Cu Kα)).
Kinematic intensities with the Lorentz-polarization factor, no thermal factor.

Atomic structure:
```
Th5AsC4
1.0
6.4160 -1.9328 0.0000
6.4160 1.9328 0.0000
-4.7935 0.0000 8.4938
Th As C
5 1 4
Cartesian
0.0000 0.0000 0.0000
-1.2660 0.0000 6.9580
2.0335 0.0000 5.3170
6.0050 0.0000 3.1768
9.3045 0.0000 1.5358
-2.3968 0.0000 4.2469
1.0459 0.0000 2.3805
4.6224 0.0000 0.8375
3.4161 0.0000 7.6563
6.9926 0.0000 6.1133
```

The 10 most intense peaks (10 to 90 degrees two-theta), in order of falling intensity:
2θ/deg	d [Å]	Rel. int.
32.57	2.749	100
28.10	3.176	100
32.14	2.785	53
28.30	3.153	51
27.44	3.251	44
46.96	1.935	38
45.85	1.979	33
58.09	1.588	21
47.01	1.933	21
55.79	1.648	16

Structure and simulated powder X-ray diffraction pattern of Ti3As2C (a structure optimized by DFT (PBE); λ = 1.5418 Å (Cu Kα)).
Kinematic intensities with the Lorentz-polarization factor, no thermal factor.

Atomic structure:
```
Ti3As2C
1.0
4.8613 -3.5563 0.0000
4.8613 3.5563 0.0000
0.0000 0.0000 5.4074
Ti As C
6 4 2
Cartesian
4.8613 2.5515 4.0555
3.3763 0.0000 0.0000
3.3763 0.0000 2.7037
6.3462 0.0000 0.0000
6.3462 0.0000 2.7037
4.8613 -2.5515 1.3518
3.4237 2.3049 1.3518
6.2988 2.3049 1.3518
3.4237 -2.3049 4.0555
6.2988 -2.3049 4.0555
4.8613 0.5289 4.0555
4.8613 -0.5289 1.3518
```

The 10 most intense peaks (10 to 90 degrees two-theta), in order of falling intensity:
2θ/deg	d [Å]	Rel. int.
34.65	2.589	100
39.11	2.303	43
36.74	2.446	39
41.98	2.152	36
45.51	1.993	28
48.38	1.881	26
47.52	1.914	25
60.17	1.538	19
30.08	2.971	19
35.41	2.535	17